[1]
Ba2MnSe4: computed X-ray powder pattern (Cu Ka), based on a structure optimized by DFT (PBE).
Neutral-atom scattering factors, no anomalous dispersion.

Cell and atoms:
```
28
Lattice="9.6657 0.0000 0.0000 0.0000 6.8926 0.0000 0.0000 0.0000 12.5641" Properties=species:S:1:pos:R:3 pbc="T T T"
Ba 0.3205 1.7232 1.9722
Ba 1.3190 5.1695 4.9575
Ba 3.5138 1.7232 11.2395
Ba 4.5123 5.1695 8.2543
Ba 5.1533 1.7232 4.3098
Ba 6.1519 5.1695 1.3246
Ba 8.3466 1.7232 7.6066
Ba 9.3452 5.1695 10.5919
Mn 2.2731 5.1695 0.8384
Mn 2.5598 1.7232 7.1204
Mn 7.1059 5.1695 5.4437
Mn 7.3926 1.7232 11.7257
Se 0.0183 1.7232 11.1578
Se 1.5164 3.5668 8.0318
Se 1.5164 6.7721 8.0318
Se 1.9360 1.7232 4.8937
Se 2.8969 5.1695 11.1757
Se 3.3164 0.1205 1.7497
Se 3.3164 3.3258 1.7497
Se 4.8146 5.1695 4.8757
Se 4.8511 1.7232 7.6883
Se 6.3493 3.5668 10.8144
Se 6.3493 6.7721 10.8144
Se 6.7688 1.7232 1.3884
Se 7.7297 5.1695 7.6704
Se 8.1492 0.1205 4.5323
Se 8.1492 3.3258 4.5323
Se 9.6474 5.1695 1.4063
```

Top 8 peaks for 10° ≤ 2θ ≤ 80°, low angle first:
2θ/deg  I (rel.)  hkl
25.85  43  0 2 0
28.41  100  0 0 4
28.60  75  3 0 1
31.01  57  1 2 2
31.47  35  3 1 1
32.70  71  2 2 1
34.98  35  1 2 3
35.14  49  3 0 3

---

[2]
BaMnSe3: computed X-ray powder pattern (Cu Ka), based on a structure optimized by DFT (PBE).
Neutral-atom scattering factors, no anomalous dispersion.

Cell and atoms:
```
10
Lattice="8.7409 0.0000 0.0000 0.0000 4.2273 0.0000 0.0000 0.0000 7.9005" Properties=species:S:1:pos:R:3 pbc="T T T"
Ba 2.1852 0.0000 0.4740
Ba 6.5556 0.0000 7.4265
Mn 2.1852 2.1136 5.0020
Mn 6.5556 2.1136 2.8984
Se 0.3134 2.1136 6.4100
Se 2.1852 0.0000 3.9340
Se 4.0571 2.1136 6.4100
Se 4.6838 2.1136 1.4904
Se 6.5556 0.0000 3.9665
Se 8.4275 2.1136 1.4904
```

Top 8 peaks for 10° ≤ 2θ ≤ 80°, low angle first:
2θ/deg  I (rel.)  hkl
25.99  48  1 1 1
29.40  100  2 1 0
30.50  76  2 0 2
30.98  86  0 1 2
31.55  34  2 1 1
41.32  29  4 0 0
42.78  36  0 2 0
53.45  31  2 2 2

---

Please write out number 1 again, unchanged.
Ba2MnSe4: computed X-ray powder pattern (Cu Ka), based on a structure optimized by DFT (PBE).
Neutral-atom scattering factors, no anomalous dispersion.

Cell and atoms:
```
28
Lattice="9.6657 0.0000 0.0000 0.0000 6.8926 0.0000 0.0000 0.0000 12.5641" Properties=species:S:1:pos:R:3 pbc="T T T"
Ba 0.3205 1.7232 1.9722
Ba 1.3190 5.1695 4.9575
Ba 3.5138 1.7232 11.2395
Ba 4.5123 5.1695 8.2543
Ba 5.1533 1.7232 4.3098
Ba 6.1519 5.1695 1.3246
Ba 8.3466 1.7232 7.6066
Ba 9.3452 5.1695 10.5919
Mn 2.2731 5.1695 0.8384
Mn 2.5598 1.7232 7.1204
Mn 7.1059 5.1695 5.4437
Mn 7.3926 1.7232 11.7257
Se 0.0183 1.7232 11.1578
Se 1.5164 3.5668 8.0318
Se 1.5164 6.7721 8.0318
Se 1.9360 1.7232 4.8937
Se 2.8969 5.1695 11.1757
Se 3.3164 0.1205 1.7497
Se 3.3164 3.3258 1.7497
Se 4.8146 5.1695 4.8757
Se 4.8511 1.7232 7.6883
Se 6.3493 3.5668 10.8144
Se 6.3493 6.7721 10.8144
Se 6.7688 1.7232 1.3884
Se 7.7297 5.1695 7.6704
Se 8.1492 0.1205 4.5323
Se 8.1492 3.3258 4.5323
Se 9.6474 5.1695 1.4063
```

Top 8 peaks for 10° ≤ 2θ ≤ 80°, low angle first:
2θ/deg  I (rel.)  hkl
25.85  43  0 2 0
28.41  100  0 0 4
28.60  75  3 0 1
31.01  57  1 2 2
31.47  35  3 1 1
32.70  71  2 2 1
34.98  35  1 2 3
35.14  49  3 0 3